The following is a theoretical powder X-ray diffraction pattern of MgGaFe. It was derived from a DFT-relaxed cell (GGA-PBE, Alexandria), using Cu Kα X-rays.

Crystal structure
a b c (Å): 3.790 3.790 6.699
angles (deg): 90.00 90.00 90.00
Space group P4/nmm (No. 129, origin choice 2)
Symmetry-distinct sites (fractional):
Mg: 0.250 0.250 0.163 (multiplicity 2)
Ga: 0.250 0.250 0.743 (multiplicity 2)
Fe: 0.250 0.750 0.500 (multiplicity 2)

Largest 10 diffraction maxima, in order of rising 2θ, 2θ from 10° to 80°:
| 2θ/deg | Rel. int. |
| --- | --- |
| 13.22 | 59 |
| 27.03 | 46 |
| 36.10 | 39 |
| 43.23 | 100 |
| 47.24 | 21 |
| 48.01 | 44 |
| 55.96 | 12 |
| 69.64 | 12 |
| 70.24 | 14 |
| 75.80 | 11 |